Record 1
This entry pairs a crystal structure of Na5Ag4Sn2 with its theoretical powder XRD pattern. Radiation: Cu Kα (weighted mean of Kα1 and Kα2). Structure: a structure optimized by DFT (GGA-PBE).
Peak positions follow from Bragg's law for the DFT cell and can differ from measured ones.

Principal peaks in the range 2θ from 10° to 90°, by angle:
| Position (°2θ) | I/Imax | index |
| --- | --- | --- |
| 11.16 | 100.0 | 0 1 1 |
| 17.08 | 12.3 | 0 0 4 |
| 29.51 | 19.0 | 1 1 0 |
| 30.77 | 12.5 | 1 1 2 |
| 33.27 | 34.6 | 0 2 6 |
| 33.93 | 15.9 | 0 3 3 |
| 35.01 | 37.3 | 1 2 1 |
| 39.56 | 25.5 | 1 1 6 |
| 41.30 | 20.7 | 1 0 7 |
| 42.18 | 25.0 | 1 3 0 |
| 43.99 | 13.1 | 0 3 7 |
| 67.52 | 15.3 | 2 2 6 |

Structure:
a = 3.235 Å, b = 8.575 Å, c = 20.763 Å
α = 90.00°, β = 90.00°, γ = 90.00°
Space group Immm (No. 71)
Inequivalent atoms, fractional coordinates:
Na (0.000, 0.000, 0.000) x2
Na (0.000, 0.285, 0.339) x8
Ag (0.000, 0.189, 0.500) x4
Ag (0.000, 0.500, 0.226) x4
Sn (0.000, 0.500, 0.090) x4

---

Record 2
This entry pairs a crystal structure of Na2Ag4Sn5 with its theoretical powder XRD pattern. Radiation: Cu Kα (weighted mean of Kα1 and Kα2). Structure: a structure optimized by DFT (GGA-PBE).
Peak positions follow from Bragg's law for the DFT cell and can differ from measured ones.

Principal peaks in the range 2θ from 10° to 90°, by angle:
| Position (°2θ) | I/Imax | index |
| --- | --- | --- |
| 17.24 | 58.1 | 1 1 -1 |
| 19.43 | 34.4 | 2 0 -2 |
| 30.86 | 69.0 | 4 0 -3 |
| 31.83 | 51.9 | 0 2 1 |
| 34.52 | 100.0 | 2 2 0 |
| 38.03 | 82.1 | 5 1 -3 |
| 38.15 | 59.4 | 4 0 0 |
| 39.92 | 66.6 | 0 2 2 |
| 41.27 | 31.0 | 0 0 3 |
| 53.42 | 23.2 | 6 2 -4 |
| 59.41 | 23.3 | 0 4 0 |
| 71.88 | 22.3 | 8 2 -6 |

Structure:
a = 13.123 Å, b = 6.225 Å, c = 9.135 Å
α = 90.00°, β = 134.03°, γ = 90.00°
Space group C2/m (No. 12)
Inequivalent atoms, fractional coordinates:
Na (0.193, 0.000, 0.194) x4
Ag (0.245, 0.500, 0.073) x4
Ag (0.245, 0.500, 0.417) x4
Sn (0.000, 0.256, 0.329) x8
Sn (0.000, 0.500, 0.000) x2

---

Record 3
This entry pairs a crystal structure of NaAg10Sn2 with its theoretical powder XRD pattern. Radiation: Cu Kα (weighted mean of Kα1 and Kα2). Structure: a structure optimized by DFT (GGA-PBE).
Peak positions follow from Bragg's law for the DFT cell and can differ from measured ones.

Principal peaks in the range 2θ from 10° to 90°, by angle:
| Position (°2θ) | I/Imax | index |
| --- | --- | --- |
| 18.39 | 41.8 | 0 2 2 |
| 31.81 | 44.4 | 1 3 3 |
| 36.12 | 100.0 | 2 2 2 |
| 36.27 | 51.1 | 1 1 5 |
| 37.27 | 80.8 | 0 4 4 |
| 37.69 | 57.7 | 1 5 1 |
| 40.39 | 85.5 | 2 0 4 |
| 41.01 | 48.5 | 0 2 6 |
| 41.23 | 97.3 | 2 4 0 |
| 42.04 | 37.7 | 1 5 3 |
| 42.72 | 35.9 | 0 6 2 |
| 66.47 | 39.4 | 2 6 6 |

Structure:
a = 5.804 Å, b = 13.325 Å, c = 13.991 Å
α = 90.00°, β = 90.00°, γ = 90.00°
Space group Fmmm (No. 69)
Inequivalent atoms, fractional coordinates:
Na (0.000, 0.000, 0.000) x4
Ag (0.000, 0.109, 0.395) x16
Ag (0.000, 0.180, 0.170) x16
Ag (0.250, 0.250, 0.000) x8
Sn (0.250, 0.000, 0.250) x8

---

Record 4
This entry pairs a crystal structure of NaSrAgSn2 with its theoretical powder XRD pattern. Radiation: Cu Kα (weighted mean of Kα1 and Kα2). Structure: a structure optimized by DFT (GGA-PBE).
Peak positions follow from Bragg's law for the DFT cell and can differ from measured ones.

Principal peaks in the range 2θ from 10° to 90°, by angle:
| Position (°2θ) | I/Imax | index |
| --- | --- | --- |
| 13.07 | 29.9 | 0 0 1 |
| 19.43 | 30.4 | 1 0 1 |
| 26.32 | 17.3 | 0 0 2 |
| 28.85 | 18.8 | 2 0 0 |
| 29.59 | 34.4 | 0 1 2 |
| 31.86 | 27.5 | 2 1 0 |
| 33.25 | 100.0 | 1 2 1 |
| 37.86 | 20.6 | 0 2 2 |
| 39.45 | 52.3 | 2 0 2 |
| 51.03 | 22.3 | 1 2 3 |
| 53.97 | 25.5 | 3 2 1 |
| 69.81 | 16.8 | 2 4 2 |

Structure:
a = 6.190 Å, b = 6.673 Å, c = 6.772 Å
α = 90.00°, β = 90.00°, γ = 90.00°
Space group Pmma (No. 51)
Inequivalent atoms, fractional coordinates:
Na (0.250, 0.000, 0.111) x2
Sr (0.250, 0.500, 0.251) x2
Ag (0.000, 0.000, 0.500) x2
Sn (0.250, 0.273, 0.733) x4

---

Record 5
This entry pairs a crystal structure of NaTlAgSn with its theoretical powder XRD pattern. Radiation: Cu Kα (weighted mean of Kα1 and Kα2). Structure: a structure optimized by DFT (GGA-PBE).
Peak positions follow from Bragg's law for the DFT cell and can differ from measured ones.

Principal peaks in the range 2θ from 10° to 90°, by angle:
| Position (°2θ) | I/Imax | index |
| --- | --- | --- |
| 17.90 | 49.1 | 0 0 4 |
| 27.94 | 100.0 | 1 0 1 |
| 30.77 | 67.6 | 1 0 3 |
| 35.82 | 73.3 | 1 0 5 |
| 36.25 | 33.6 | 0 0 8 |
| 39.38 | 69.9 | 1 1 0 |
| 42.42 | 67.4 | 1 0 7 |
| 43.57 | 21.8 | 1 1 4 |
| 54.60 | 41.5 | 1 1 8 |
| 56.91 | 23.8 | 2 0 0 |
| 69.10 | 21.3 | 2 1 5 |
| 73.49 | 27.1 | 2 1 7 |

Structure:
a = 3.236 Å, b = 3.236 Å, c = 19.823 Å
α = 90.00°, β = 90.00°, γ = 90.00°
Space group I4mm (No. 107)
Inequivalent atoms, fractional coordinates:
Na (0.000, 0.000, 0.000) x2
Tl (0.000, 0.000, 0.633) x2
Ag (0.000, 0.000, 0.776) x2
Sn (0.000, 0.000, 0.374) x2

---

Record 6
This entry pairs a crystal structure of NaSr12Ag6 with its theoretical powder XRD pattern. Radiation: Cu Kα (weighted mean of Kα1 and Kα2). Structure: a structure optimized by DFT (GGA-PBE).
Peak positions follow from Bragg's law for the DFT cell and can differ from measured ones.

Principal peaks in the range 2θ from 10° to 90°, by angle:
| Position (°2θ) | I/Imax | index |
| --- | --- | --- |
| 10.87 | 27.7 | 1 1 0 |
| 15.40 | 13.7 | 2 0 0 |
| 26.84 | 17.2 | 2 2 2 |
| 29.04 | 100.0 | 3 1 2 |
| 33.03 | 15.8 | 3 3 0 |
| 39.96 | 36.7 | 5 0 1 |
| 46.00 | 16.5 | 5 3 0 |
| 47.41 | 16.9 | 6 0 0 |
| 48.79 | 15.3 | 5 2 3 |
| 56.56 | 13.8 | 5 3 4 |
| 63.69 | 11.1 | 7 3 2 |
| 70.40 | 16.3 | 8 1 3 |

Structure:
a = 11.505 Å, b = 11.505 Å, c = 11.505 Å
α = 90.00°, β = 90.00°, γ = 90.00°
Space group Im-3 (No. 204)
Inequivalent atoms, fractional coordinates:
Na (0.000, 0.000, 0.000) x2
Sr (0.000, 0.304, 0.184) x24
Ag (0.000, 0.122, 0.500) x12

---

Record 7
This entry pairs a crystal structure of NaSrAg10 with its theoretical powder XRD pattern. Radiation: Cu Kα (weighted mean of Kα1 and Kα2). Structure: a structure optimized by DFT (GGA-PBE).
Peak positions follow from Bragg's law for the DFT cell and can differ from measured ones.

Principal peaks in the range 2θ from 10° to 90°, by angle:
| Position (°2θ) | I/Imax | index |
| --- | --- | --- |
| 17.86 | 29.8 | 0 0 2 |
| 18.13 | 54.7 | 0 1 1 |
| 36.74 | 25.7 | 0 2 2 |
| 36.89 | 100.0 | 1 1 3 |
| 37.31 | 49.0 | 1 2 0 |
| 38.42 | 56.0 | 2 0 0 |
| 41.14 | 35.3 | 1 0 4 |
| 41.65 | 72.0 | 1 2 2 |
| 54.21 | 15.9 | 2 2 2 |
| 60.08 | 22.6 | 1 3 3 |
| 65.43 | 20.8 | 0 2 6 |
| 78.50 | 24.5 | 2 2 6 |

Structure:
a = 4.686 Å, b = 5.620 Å, c = 9.934 Å
α = 90.00°, β = 90.00°, γ = 90.00°
Space group Pmmm (No. 47)
Inequivalent atoms, fractional coordinates:
Na (0.000, 0.000, 0.000) x1
Sr (0.000, 0.500, 0.500) x1
Ag (0.000, 0.000, 0.324) x2
Ag (0.000, 0.500, 0.160) x2
Ag (0.500, 0.000, 0.500) x1
Ag (0.500, 0.252, 0.250) x4
Ag (0.500, 0.500, 0.000) x1

---

Record 8
This entry pairs a crystal structure of NaSr3Ag with its theoretical powder XRD pattern. Radiation: Cu Kα (weighted mean of Kα1 and Kα2). Structure: a structure optimized by DFT (GGA-PBE).
Peak positions follow from Bragg's law for the DFT cell and can differ from measured ones.

Principal peaks in the range 2θ from 10° to 90°, by angle:
| Position (°2θ) | I/Imax | index |
| --- | --- | --- |
| 10.16 | 100.0 | 1 0 -1 |
| 25.51 | 45.6 | 2 0 1 |
| 27.23 | 26.7 | 3 0 -1 |
| 27.92 | 28.2 | 0 0 3 |
| 28.40 | 89.7 | 2 1 -2 |
| 31.65 | 24.5 | 1 1 2 |
| 32.05 | 19.8 | 1 1 -3 |
| 32.30 | 27.2 | 2 1 1 |
| 33.74 | 20.7 | 3 1 -1 |
| 34.32 | 21.8 | 0 1 3 |
| 39.71 | 30.2 | 0 2 0 |
| 50.55 | 19.5 | 5 1 -3 |

Structure:
a = 9.927 Å, b = 4.540 Å, c = 10.670 Å
α = 90.00°, β = 116.03°, γ = 90.00°
Space group P2_1/m (No. 11)
Inequivalent atoms, fractional coordinates:
Na (0.181, 0.250, 0.098) x2
Sr (0.121, 0.750, 0.781) x2
Sr (0.273, 0.750, 0.450) x2
Sr (0.475, 0.250, 0.819) x2
Ag (0.103, 0.250, 0.559) x2

---

Record 9
This entry pairs a crystal structure of NaTcAg3 with its theoretical powder XRD pattern. Radiation: Cu Kα (weighted mean of Kα1 and Kα2). Structure: a structure optimized by DFT (GGA-PBE).
Peak positions follow from Bragg's law for the DFT cell and can differ from measured ones.

Principal peaks in the range 2θ from 10° to 90°, by angle:
| Position (°2θ) | I/Imax | index |
| --- | --- | --- |
| 16.99 | 96.2 | 1 0 0 |
| 29.66 | 63.4 | 1 1 1 |
| 34.38 | 100.0 | 2 0 0 |
| 38.59 | 48.0 | 2 1 0 |
| 49.41 | 68.8 | 2 2 0 |
| 52.63 | 23.8 | 3 0 0 |
| 58.69 | 24.9 | 3 1 1 |
| 61.58 | 22.9 | 2 2 2 |
| 64.38 | 10.2 | 3 2 0 |
| 72.46 | 10.4 | 4 0 0 |
| 75.07 | 13.0 | 4 1 0 |
| 82.72 | 29.1 | 4 2 0 |

Structure:
a = 5.217 Å, b = 5.217 Å, c = 5.217 Å
α = 90.00°, β = 90.00°, γ = 90.00°
Space group Pm-3m (No. 221)
Inequivalent atoms, fractional coordinates:
Na (0.000, 0.000, 0.000) x1
Tc (0.500, 0.500, 0.500) x1
Ag (0.000, 0.500, 0.500) x3

---

Record 10
This entry pairs a crystal structure of NaAg3Te3 with its theoretical powder XRD pattern. Radiation: Cu Kα (weighted mean of Kα1 and Kα2). Structure: a structure optimized by DFT (GGA-PBE).
Peak positions follow from Bragg's law for the DFT cell and can differ from measured ones.

Principal peaks in the range 2θ from 10° to 90°, by angle:
| Position (°2θ) | I/Imax | index |
| --- | --- | --- |
| 11.11 | 62.4 | 0 0 3 |
| 22.32 | 16.3 | 0 0 6 |
| 23.20 | 72.6 | 1 1 0 |
| 25.79 | 44.9 | 1 1 3 |
| 32.42 | 68.3 | 1 1 6 |
| 40.77 | 79.5 | 3 0 0 |
| 41.36 | 100.0 | 1 1 9 |
| 42.39 | 13.9 | 3 0 3 |
| 53.02 | 15.9 | 4 -2 6 |
| 59.48 | 32.6 | 4 -2 9 |
| 68.97 | 13.7 | 4 1 6 |
| 74.62 | 32.3 | 4 1 9 |

Structure:
a = 7.6663 Å, b = 7.6663 Å, c = 23.8993 Å
α = 90.00°, β = 90.00°, γ = 120.00°
Space group R-3 (No. 148, hexagonal axes)
Inequivalent atoms, fractional coordinates:
Na (0.0000, 0.0000, 0.1670) x6
Ag (0.0026, 0.6593, 0.3680) x18
Te (0.0017, 0.6757, 0.5815) x18

---

Record 11
This entry pairs a crystal structure of Na4Ag5Te6 with its theoretical powder XRD pattern. Radiation: Cu Kα (weighted mean of Kα1 and Kα2). Structure: a structure optimized by DFT (GGA-PBE).
Peak positions follow from Bragg's law for the DFT cell and can differ from measured ones.

Principal peaks in the range 2θ from 10° to 90°, by angle:
| Position (°2θ) | I/Imax | index |
| --- | --- | --- |
| 10.32 | 39.4 | 0 0 2 |
| 19.41 | 45.5 | 1 1 0 |
| 22.49 | 37.1 | 0 2 4 |
| 23.29 | 34.6 | 0 4 3 |
| 23.56 | 41.9 | 1 3 1 |
| 30.74 | 28.6 | 1 5 2 |
| 31.14 | 30.4 | 1 3 4 |
| 32.94 | 71.1 | 1 5 3 |
| 38.38 | 73.7 | 2 0 0 |
| 41.98 | 100.0 | 1 7 4 |
| 43.75 | 59.2 | 1 3 7 |
| 44.09 | 31.6 | 1 9 0 |

Structure:
a = 4.691 Å, b = 20.553 Å, c = 17.136 Å
α = 90.00°, β = 90.00°, γ = 90.00°
Space group Cmc2_1 (No. 36)
Inequivalent atoms, fractional coordinates:
Na (0.000, 0.008, 0.000) x4
Na (0.000, 0.030, 0.259) x4
Na (0.000, 0.173, 0.443) x4
Na (0.000, 0.173, 0.794) x4
Ag (0.000, 0.147, 0.124) x4
Ag (0.000, 0.297, 0.124) x4
Ag (0.000, 0.349, 0.494) x4
Ag (0.000, 0.353, 0.751) x4
Ag (0.000, 0.429, 0.189) x4
Te (0.000, 0.119, 0.615) x4
Te (0.000, 0.224, 0.267) x4
Te (0.000, 0.226, 0.982) x4
Te (0.000, 0.432, 0.355) x4
Te (0.000, 0.433, 0.891) x4
Te (0.000, 0.442, 0.622) x4

---

Record 12
This entry pairs a crystal structure of Na14Ag2Te9 with its theoretical powder XRD pattern. Radiation: Cu Kα (weighted mean of Kα1 and Kα2). Structure: a structure optimized by DFT (GGA-PBE).
Peak positions follow from Bragg's law for the DFT cell and can differ from measured ones.

Principal peaks in the range 2θ from 10° to 90°, by angle:
| Position (°2θ) | I/Imax | index |
| --- | --- | --- |
| 13.52 | 44.4 | 0 1 1 |
| 21.16 | 100.0 | 2 -1 1 |
| 21.66 | 37.1 | 0 0 3 |
| 24.62 | 18.5 | 1 1 2 |
| 34.79 | 58.2 | 3 0 0 |
| 35.42 | 61.2 | 2 -1 4 |
| 41.08 | 13.7 | 2 2 1 |
| 41.36 | 31.0 | 0 3 3 |
| 41.90 | 13.2 | 1 1 5 |
| 42.79 | 11.2 | 3 1 1 |
| 50.50 | 17.8 | 2 2 4 |
| 62.79 | 15.4 | 5 -1 4 |

Structure:
a = 8.9320 Å, b = 8.9320 Å, c = 12.3089 Å
α = 90.00°, β = 90.00°, γ = 120.00°
Space group P-3 (No. 147)
Inequivalent atoms, fractional coordinates:
Na (0.0000, 0.0000, 0.2471) x2
Na (0.0146, 0.6690, 0.4106) x6
Na (0.0482, 0.3721, 0.0969) x6
Ag (0.3333, 0.6667, 0.7561) x2
Te (0.0000, 0.0000, 0.5000) x1
Te (0.0461, 0.3504, 0.8390) x6
Te (0.3333, 0.6667, 0.5227) x2